No. 1
Starting from a cell relaxed with PBE, the powder diffraction line list of La3DyAs4 was computed for Cu Ka.

Top 8 peaks for 2θ = 10–80°, in order of rising 2θ:
- 2θ = 25.28°, 3.523 Å, rel. 17, hkl 2 0 0
- 2θ = 29.27°, 3.051 Å, rel. 100, hkl 1 2 1
- 2θ = 41.87°, 2.157 Å, rel. 75, hkl 2 0 2
- 2θ = 49.54°, 1.840 Å, rel. 8, hkl 4 0 -2
- 2θ = 51.91°, 1.762 Å, rel. 27, hkl 0 0 4
- 2θ = 60.71°, 1.526 Å, rel. 12, hkl 2 4 2
- 2θ = 68.79°, 1.365 Å, rel. 28, hkl 0 4 4
- 2θ = 76.46°, 1.246 Å, rel. 19, hkl 1 2 5

Structure:
abc: 7.4697 8.6371 7.4726
angles: 90.00 109.51 90.00
Space group P2/c (No. 13)
Asymmetric unit:
La: 0.0000 0.1238 0.2500 x2
La: 0.0000 0.3729 0.7500 x2
La: 0.5000 0.3731 0.2500 x2
Dy: 0.5000 0.1235 0.7500 x2
As: 0.2540 0.3701 0.5051 x4
As: 0.2596 0.1198 0.9994 x4

No. 2
Starting from a cell relaxed with PBE, the powder diffraction line list of Na8B13C3 was computed for Cu Ka.

Top 8 peaks for 2θ = 10–80°, in order of rising 2θ:
- 2θ = 33.62°, 2.666 Å, rel. 14, hkl 0 0 4
- 2θ = 36.26°, 2.477 Å, rel. 17, hkl 1 0 2
- 2θ = 39.69°, 2.271 Å, rel. 51, hkl 0 2 4
- 2θ = 41.65°, 2.169 Å, rel. 38, hkl 0 4 0
- 2θ = 42.00°, 2.151 Å, rel. 100, hkl 1 2 2
- 2θ = 61.85°, 1.500 Å, rel. 18, hkl 1 0 6
- 2θ = 76.25°, 1.249 Å, rel. 13, hkl 1 6 2
- 2θ = 77.34°, 1.234 Å, rel. 17, hkl 1 4 6

Structure:
abc: 2.7978 8.6744 10.6634
angles: 90.00 90.00 90.00
Space group Pmm2 (No. 25)
Asymmetric unit:
Na: 0.0000 0.2470 0.0000 x2
Na: 0.0000 0.2490 0.5039 x2
Na: 0.5000 0.2479 0.2519 x2
Na: 0.5000 0.2509 0.7531 x2
B: 0.0000 0.0000 0.1709 x1
B: 0.0000 0.0000 0.3305 x1
B: 0.0000 0.0000 0.6876 x1
B: 0.0000 0.5000 0.1656 x1
B: 0.0000 0.5000 0.3290 x1
B: 0.0000 0.5000 0.8337 x1
B: 0.5000 0.0000 0.0700 x1
B: 0.5000 0.0000 0.4284 x1
B: 0.5000 0.0000 0.5870 x1
B: 0.5000 0.0000 0.9086 x1
B: 0.5000 0.5000 0.0589 x1
B: 0.5000 0.5000 0.4371 x1
B: 0.5000 0.5000 0.6044 x1
C: 0.0000 0.0000 0.8335 x1
C: 0.0000 0.5000 0.6810 x1
C: 0.5000 0.5000 0.9119 x1

No. 3
Starting from a cell relaxed with PBE, the powder diffraction line list of Cs2YInBr6 was computed for Cu Ka.

Top 8 peaks for 2θ = 10–80°, in order of rising 2θ:
- 2θ = 21.16°, 4.199 Å, rel. 51, hkl 1 1 -3
- 2θ = 25.12°, 3.545 Å, rel. 18, hkl 2 1 -3
- 2θ = 25.62°, 3.477 Å, rel. 26, hkl 0 2 2
- 2θ = 26.32°, 3.386 Å, rel. 24, hkl 2 0 0
- 2θ = 30.09°, 2.970 Å, rel. 100, hkl 0 0 4
- 2θ = 34.02°, 2.635 Å, rel. 17, hkl 1 3 0
- 2θ = 37.55°, 2.396 Å, rel. 31, hkl 3 1 -1
- 2θ = 43.08°, 2.100 Å, rel. 32, hkl 2 2 2

Structure:
abc: 8.2462 8.5815 14.4284
angles: 90.00 124.69 90.00
Space group P2_1/c (No. 14)
Asymmetric unit:
Cs: 0.2320 0.0620 0.2504 x4
Y: 0.5000 0.0000 0.0000 x2
In: 0.0000 0.0000 0.5000 x2
Br: 0.1834 0.1843 0.9611 x4
Br: 0.2780 0.7264 0.9598 x4
Br: 0.3470 0.0164 0.7690 x4

Number 2 is which compound? Na8B13C3

Copy entry 2 word for word.
Starting from a cell relaxed with PBE, the powder diffraction line list of Na8B13C3 was computed for Cu Ka.

Top 8 peaks for 2θ = 10–80°, in order of rising 2θ:
- 2θ = 33.62°, 2.666 Å, rel. 14, hkl 0 0 4
- 2θ = 36.26°, 2.477 Å, rel. 17, hkl 1 0 2
- 2θ = 39.69°, 2.271 Å, rel. 51, hkl 0 2 4
- 2θ = 41.65°, 2.169 Å, rel. 38, hkl 0 4 0
- 2θ = 42.00°, 2.151 Å, rel. 100, hkl 1 2 2
- 2θ = 61.85°, 1.500 Å, rel. 18, hkl 1 0 6
- 2θ = 76.25°, 1.249 Å, rel. 13, hkl 1 6 2
- 2θ = 77.34°, 1.234 Å, rel. 17, hkl 1 4 6

Structure:
abc: 2.7978 8.6744 10.6634
angles: 90.00 90.00 90.00
Space group Pmm2 (No. 25)
Asymmetric unit:
Na: 0.0000 0.2470 0.0000 x2
Na: 0.0000 0.2490 0.5039 x2
Na: 0.5000 0.2479 0.2519 x2
Na: 0.5000 0.2509 0.7531 x2
B: 0.0000 0.0000 0.1709 x1
B: 0.0000 0.0000 0.3305 x1
B: 0.0000 0.0000 0.6876 x1
B: 0.0000 0.5000 0.1656 x1
B: 0.0000 0.5000 0.3290 x1
B: 0.0000 0.5000 0.8337 x1
B: 0.5000 0.0000 0.0700 x1
B: 0.5000 0.0000 0.4284 x1
B: 0.5000 0.0000 0.5870 x1
B: 0.5000 0.0000 0.9086 x1
B: 0.5000 0.5000 0.0589 x1
B: 0.5000 0.5000 0.4371 x1
B: 0.5000 0.5000 0.6044 x1
C: 0.0000 0.0000 0.8335 x1
C: 0.0000 0.5000 0.6810 x1
C: 0.5000 0.5000 0.9119 x1